Structure and theoretical X-ray diffraction stick pattern of RbMo3O9 (DFT lattice parameters and positions (PBE+U); Cu Kα (λ = 1.5418 Å)).
Intensities are scaled so that the largest is 100.

Largest 10 diffraction maxima, in order of rising 2θ, 10 to 90 degrees two-theta:
- d 6.066, 14.60 deg, intensity 26.1
- d 4.477, 19.83 deg, intensity 100.0
- d 4.178, 21.27 deg, intensity 60.8
- d 4.123, 21.55 deg, intensity 82.5
- d 3.745, 23.76 deg, intensity 14.3
- d 3.127, 28.54 deg, intensity 24.9
- d 3.055, 29.24 deg, intensity 31.3
- d 3.033, 29.45 deg, intensity 42.7
- d 2.417, 37.21 deg, intensity 20.6
- d 2.144, 42.15 deg, intensity 14.2

Structure:
Unit cell a=8.579 b=8.579 c=8.955 alpha=90.00 beta=90.00 gamma=106.03
Fractional positions:
Rb (0.125, 0.125, 0.000)
Rb (0.875, 0.875, 0.500)
Mo (0.249, 0.249, 0.500)
Mo (0.300, 0.688, 0.959)
Mo (0.312, 0.700, 0.541)
Mo (0.688, 0.300, 0.041)
Mo (0.700, 0.312, 0.459)
Mo (0.751, 0.751, 0.000)
O (0.141, 0.159, 0.344)
O (0.159, 0.141, 0.656)
O (0.193, 0.803, 0.052)
O (0.197, 0.807, 0.448)
O (0.231, 0.483, 0.006)
O (0.242, 0.465, 0.510)
O (0.278, 0.722, 0.750)
O (0.465, 0.242, 0.490)
O (0.483, 0.231, 0.994)
O (0.517, 0.769, 0.494)
O (0.535, 0.758, 0.990)
O (0.722, 0.278, 0.250)
O (0.758, 0.535, 0.010)
O (0.769, 0.517, 0.506)
O (0.803, 0.193, 0.948)
O (0.807, 0.197, 0.552)
O (0.841, 0.859, 0.156)
O (0.859, 0.841, 0.844)

=====

Structure and theoretical X-ray diffraction stick pattern of Li6CoNi5O12 (DFT lattice parameters and positions (PBE+U); Cu Kα (λ = 1.5418 Å)).
Intensities are scaled so that the largest is 100.

Largest 10 diffraction maxima, in order of rising 2θ, 10 to 90 degrees two-theta:
- d 4.867, 18.23 deg, intensity 100.0
- d 2.523, 35.58 deg, intensity 13.7
- d 2.431, 36.97 deg, intensity 15.6
- d 2.426, 37.06 deg, intensity 9.8
- d 2.378, 37.83 deg, intensity 11.4
- d 2.123, 42.58 deg, intensity 11.7
- d 2.029, 44.65 deg, intensity 19.8
- d 1.906, 47.73 deg, intensity 11.7
- d 1.897, 47.95 deg, intensity 11.4
- d 1.887, 48.23 deg, intensity 9.2

Structure:
Unit cell a=4.935 b=4.950 c=9.903 alpha=86.71 beta=79.56 gamma=62.06
Fractional positions:
Li (0.070, 0.021, 0.243)
Li (0.271, 0.307, 0.755)
Li (0.401, 0.354, 0.242)
Li (0.599, 0.646, 0.758)
Li (0.729, 0.693, 0.245)
Li (0.930, 0.979, 0.757)
Co (0.500, 0.000, 0.000)
Ni (0.000, 0.000, 0.500)
Ni (0.169, 0.665, 0.000)
Ni (0.333, 0.334, 0.500)
Ni (0.667, 0.666, 0.500)
Ni (0.831, 0.335, 0.000)
O (0.018, 0.685, 0.388)
O (0.143, 0.323, 0.110)
O (0.236, 0.986, 0.887)
O (0.315, 0.647, 0.612)
O (0.351, 0.019, 0.390)
O (0.450, 0.699, 0.114)
O (0.550, 0.301, 0.886)
O (0.649, 0.981, 0.610)
O (0.685, 0.353, 0.388)
O (0.764, 0.014, 0.113)
O (0.857, 0.677, 0.890)
O (0.982, 0.315, 0.612)